No. 1
This entry pairs a crystal structure of Cu6Ag6Sb4TeSe12 with its simulated powder X-ray diffraction pattern. Radiation: Cu Kα, 1.54184 Å. Structure: a cell relaxed with GGA-PBE.
Kinematic intensities with the Lorentz-polarization factor, no thermal factor.

Atomic structure:
```
data_Cu6Ag6Sb4TeSe12
_cell_length_a 11.5117
_cell_length_b 11.5117
_cell_length_c 11.5117
_cell_angle_alpha 90.00
_cell_angle_beta 90.00
_cell_angle_gamma 90.00
_symmetry_space_group_name_H-M 'I -4 3 m'
_symmetry_Int_Tables_number 217
_symmetry_space_group_name_Hall 'I -4 2 3'
loop_
_atom_site_label
_atom_site_type_symbol
_atom_site_fract_x
_atom_site_fract_y
_atom_site_fract_z
Cu1 Cu 0.0000 0.0000 0.2232
Ag1 Ag 0.0000 0.2500 0.5000
Sb1 Sb 0.2407 0.2407 0.2407
Te1 Te 0.0000 0.0000 0.0000
Se1 Se 0.1129 0.1129 0.6483
```

Principal peaks in the range 10° ≤ 2θ ≤ 90°, in order of rising 2θ:
2θ/deg, I/Imax, index
18.88, 12, 2 1 1
26.83, 100, 2 2 2
29.02, 17, 3 2 1
31.08, 11, 4 0 0
43.04, 15, 5 2 1
44.52, 76, 4 4 0
48.76, 12, 6 1 1
52.75, 35, 6 2 2
71.44, 13, 6 6 2
82.01, 17, 8 4 4

***

No. 2
This entry pairs a crystal structure of Cu6Ag6Sb4TeSe12 with its simulated powder X-ray diffraction pattern. Radiation: Cu Kα, 1.54184 Å. Structure: a cell relaxed with GGA-PBE.
Kinematic intensities with the Lorentz-polarization factor, no thermal factor.

Atomic structure:
```
data_Cu6Ag6Sb4TeSe12
_cell_length_a 11.3384
_cell_length_b 11.3384
_cell_length_c 11.3384
_cell_angle_alpha 90.00
_cell_angle_beta 90.00
_cell_angle_gamma 90.00
_symmetry_space_group_name_H-M 'I -4 3 m'
_symmetry_Int_Tables_number 217
_symmetry_space_group_name_Hall 'I -4 2 3'
loop_
_atom_site_label
_atom_site_type_symbol
_atom_site_fract_x
_atom_site_fract_y
_atom_site_fract_z
Cu1 Cu 0.0000 0.2500 0.5000
Ag1 Ag 0.0000 0.0000 0.2408
Sb1 Sb 0.2235 0.2235 0.2235
Te1 Te 0.0000 0.0000 0.0000
Se1 Se 0.1205 0.3718 0.3718
```

Principal peaks in the range 10° ≤ 2θ ≤ 90°, in order of rising 2θ:
2θ/deg, I/Imax, index
24.83, 12, 3 1 0
27.25, 100, 2 2 2
29.48, 16, 3 2 1
33.53, 14, 4 1 1
40.57, 17, 5 1 0
45.24, 78, 4 4 0
53.62, 34, 6 2 2
65.90, 10, 8 0 0
72.70, 14, 6 6 2
83.55, 20, 8 4 4

***

No. 3
This entry pairs a crystal structure of Cu6Ag6Sb4Te12Se with its simulated powder X-ray diffraction pattern. Radiation: Cu Kα, 1.54184 Å. Structure: a cell relaxed with GGA-PBE.
Kinematic intensities with the Lorentz-polarization factor, no thermal factor.

Atomic structure:
```
data_Cu6Ag6Sb4Te12Se
_cell_length_a 11.8568
_cell_length_b 11.8568
_cell_length_c 11.8568
_cell_angle_alpha 90.00
_cell_angle_beta 90.00
_cell_angle_gamma 90.00
_symmetry_space_group_name_H-M 'I -4 3 m'
_symmetry_Int_Tables_number 217
_symmetry_space_group_name_Hall 'I -4 2 3'
loop_
_atom_site_label
_atom_site_type_symbol
_atom_site_fract_x
_atom_site_fract_y
_atom_site_fract_z
Cu1 Cu 0.0000 0.2500 0.5000
Ag1 Ag 0.0000 0.0000 0.2207
Sb1 Sb 0.2204 0.2204 0.2204
Te1 Te 0.1234 0.1234 0.6263
Se1 Se 0.0000 0.0000 0.0000
```

Principal peaks in the range 10° ≤ 2θ ≤ 90°, in order of rising 2θ:
2θ/deg, I/Imax, index
26.03, 100, 2 2 2
28.16, 18, 3 2 1
32.03, 14, 4 1 1
38.72, 18, 5 1 0
43.16, 72, 4 4 0
47.26, 10, 6 1 1
51.10, 35, 6 2 2
62.68, 9, 8 0 0
69.06, 15, 6 6 2
79.14, 17, 8 4 4